The following is a calculated powder diffraction line list of RbCoAgF6. It was derived from the GGA+U geometry in Alexandria, using Cu Kα (λ = 1.5418 Å).

Crystal structure
a b c (Å): 5.5669 5.5714 5.8819
angles (deg): 90.26 90.26 118.41
Space group P1 (No. 1)
One atom of each set of equivalent atoms:
Rb 0.0000 0.0000 0.0000 (multiplicity 1)
Co 0.6613 0.3378 0.5000 (multiplicity 1)
Ag 0.3324 0.6699 0.4997 (multiplicity 1)
F 0.3827 0.0471 0.6588 (multiplicity 1)
F 0.3965 0.3667 0.3125 (multiplicity 1)
F 0.6330 0.5996 0.6909 (multiplicity 1)
F 0.6675 0.0838 0.3041 (multiplicity 1)
F 0.9167 0.3296 0.6928 (multiplicity 1)
F 0.9497 0.6166 0.3413 (multiplicity 1)

Peak list (6 most intense, 10 to 90 degrees two-theta, most intense first)
Position (°2θ), d [Å], I/Imax, (hkl)
23.5, 3.778, 100.0, 1 0 -1
23.7, 3.750, 94.7, 1 0 1
24.0, 3.711, 92.4, 1 -1 1
15.1, 5.882, 82.5, 0 0 1
44.9, 2.017, 64.4, -1 2 2
32.2, 2.783, 53.3, 2 -1 0